[1]
This entry pairs a crystal structure of LiSm4Se4 with its theoretical powder X-ray diffraction pattern. Radiation: Cu Kα (weighted mean of Kα1 and Kα2). Structure: DFT lattice parameters and positions (GGA-PBE).

Top 8 peaks for 2θ = 15–90°, in order of rising 2θ:
19.51°, I 16
26.73°, I 28
30.71°, I 48
31.09°, I 100
44.27°, I 75
44.54°, I 34
55.08°, I 36
72.83°, I 17

Structure:
```
LiSm4Se4
1.0
6.432 -2.911 0.000
6.432 2.911 0.000
-6.419 0.000 6.434
Li Sm Se
1 4 4
direct
0.000 0.000 0.000
0.202 0.202 0.605
0.404 0.404 0.201
0.596 0.596 0.799
0.798 0.798 0.395
0.093 0.093 0.806
0.287 0.287 0.380
0.713 0.713 0.620
0.907 0.907 0.194
```

---

[2]
This entry pairs a crystal structure of LiTb2Sm3Se6 with its theoretical powder X-ray diffraction pattern. Radiation: Cu Kα (weighted mean of Kα1 and Kα2). Structure: DFT lattice parameters and positions (GGA-PBE).

Top 8 peaks for 2θ = 15–90°, in order of rising 2θ:
30.75°, I 100
43.90°, I 25
44.06°, I 25
44.19°, I 24
54.71°, I 13
64.06°, I 12
72.94°, I 11
80.99°, I 8

Structure:
```
LiTb2Sm3Se6
1.0
3.547 -6.162 0.000
3.547 6.162 0.000
-2.386 0.000 6.746
Li Tb Sm Se
1 2 3 6
direct
0.000 0.000 0.000
0.335 0.665 0.000
0.665 0.335 0.000
0.167 0.833 0.500
0.500 0.500 0.500
0.833 0.167 0.500
0.079 0.404 0.238
0.244 0.244 0.763
0.404 0.079 0.238
0.596 0.921 0.762
0.756 0.756 0.237
0.921 0.596 0.762
```

---

[3]
This entry pairs a crystal structure of LiSmTm4Se8 with its theoretical powder X-ray diffraction pattern. Radiation: Cu Kα (weighted mean of Kα1 and Kα2). Structure: DFT lattice parameters and positions (GGA-PBE).

Top 8 peaks for 2θ = 15–90°, in order of rising 2θ:
24.97°, I 25
25.17°, I 80
30.41°, I 100
39.85°, I 23
43.33°, I 63
43.76°, I 63
63.28°, I 20
80.10°, I 20

Structure:
```
LiSmTm4Se8
1.0
4.137 2.389 6.853
-4.137 2.389 6.853
0.000 -4.777 6.853
Li Sm Tm Se
1 1 4 8
direct
0.000 0.000 0.000
0.370 0.370 0.370
0.369 0.369 0.891
0.369 0.891 0.369
0.748 0.748 0.748
0.891 0.369 0.369
0.125 0.125 0.610
0.125 0.610 0.125
0.131 0.131 0.131
0.147 0.622 0.622
0.610 0.125 0.125
0.615 0.615 0.615
0.622 0.147 0.622
0.622 0.622 0.147
```

---

[4]
This entry pairs a crystal structure of Li3Sn4Se8 with its theoretical powder X-ray diffraction pattern. Radiation: Cu Kα (weighted mean of Kα1 and Kα2). Structure: DFT lattice parameters and positions (GGA-PBE).

Top 8 peaks for 2θ = 15–90°, in order of rising 2θ:
22.17°, I 36
31.36°, I 93
31.63°, I 90
31.85°, I 89
45.16°, I 100
45.30°, I 67
56.03°, I 35
56.58°, I 34

Structure:
```
Li3Sn4Se8
1.0
5.619 -5.705 0.000
5.619 5.705 0.000
-5.543 0.000 5.657
Li Sn Se
3 4 8
direct
0.000 0.000 0.000
0.000 0.500 0.000
0.500 0.000 0.000
0.000 0.500 0.500
0.500 0.000 0.500
0.500 0.500 0.000
0.500 0.500 0.500
0.245 0.245 0.491
0.250 0.750 0.000
0.257 0.743 0.500
0.264 0.264 0.024
0.736 0.736 0.976
0.743 0.257 0.500
0.750 0.250 0.000
0.755 0.755 0.509
```